# Cs4TeP3O18
Calculated X-ray powder pattern, λ = 1.5418 Å (Cu Kα). Input: a PBE-relaxed structure.
Lines closer than 0.1° are merged.

Peak list (10 most intense, 10 to 80 degrees two-theta, by angle)
hkl, 2θ (°), d_spacing, I (rel.)
0 2 2, 22.8, 3.897, 100
2 0 -2, 24.2, 3.677, 40
2 2 0, 25.0, 3.560, 76
0 4 0, 25.5, 3.489, 34
2 4 -2, 35.5, 2.531, 23
0 0 4, 38.3, 2.349, 14
2 2 -4, 40.4, 2.232, 14
2 4 2, 41.9, 2.154, 15
4 2 -2, 44.4, 2.042, 14
2 6 0, 44.7, 2.028, 14

Unit cell a=8.6476 b=13.9566 c=9.8138 alpha=90.00 beta=106.78 gamma=90.00
Space group P2_1/m (No. 11)
Unique sites:
Cs1 0.0087 0.2500 0.4843 (multiplicity 2)
Cs2 0.2384 0.0084 0.2376 (multiplicity 4)
Cs3 0.4658 0.7500 0.9898 (multiplicity 2)
Te1 0.4789 0.7500 0.4935 (multiplicity 2)
P1 0.0129 0.2500 0.0096 (multiplicity 2)
P2 0.2517 0.0078 0.7816 (multiplicity 4)
O1 0.0882 0.6574 0.0235 (multiplicity 4)
O2 0.1076 0.2500 0.1690 (multiplicity 2)
O3 0.1136 0.0777 0.7125 (multiplicity 4)
O4 0.1290 0.2500 0.9158 (multiplicity 2)
O5 0.1953 0.5978 0.7743 (multiplicity 4)
O6 0.3123 0.6527 0.4603 (multiplicity 4)
O7 0.3182 0.0470 0.9342 (multiplicity 4)
O8 0.3574 0.1527 0.4854 (multiplicity 4)
O9 0.3846 0.0021 0.7046 (multiplicity 4)
O10 0.3860 0.7500 0.2879 (multiplicity 2)
O11 0.4529 0.2500 0.3018 (multiplicity 2)